Structure and calculated powder diffraction line list of Cs2ZrPS6 (DFT lattice parameters and positions (GGA-PBE); Cu Kα).

Top 8 peaks for 10 to 80 degrees two-theta, by intensity:
2.878 Å, 2θ 31.07, rel. 100
3.783 Å, 2θ 23.52, rel. 72
4.437 Å, 2θ 20.01, rel. 71
2.218 Å, 2θ 40.67, rel. 37
1.914 Å, 2θ 47.51, rel. 30
1.891 Å, 2θ 48.11, rel. 26
2.739 Å, 2θ 32.70, rel. 21
2.291 Å, 2θ 39.33, rel. 18

Atomic structure:
a = 7.565 Å, b = 7.565 Å, c = 6.030 Å
α = 90.00°, β = 90.00°, γ = 120.00°
Fractional positions:
Cs (0.333, 0.667, 0.239)
Cs (0.667, 0.333, 0.761)
Zr (0.000, 0.000, 0.500)
P (0.000, 0.000, 0.000)
S (0.143, 0.287, 0.788)
S (0.143, 0.857, 0.788)
S (0.287, 0.143, 0.212)
S (0.713, 0.857, 0.788)
S (0.857, 0.143, 0.212)
S (0.857, 0.713, 0.212)


Structure and calculated powder diffraction line list of Y3Mg7Ir4 (DFT lattice parameters and positions (GGA-PBE); Cu Kα).

Top 8 peaks for 10 to 80 degrees two-theta, by intensity:
4.315 Å, 2θ 20.58, rel. 100
2.541 Å, 2θ 35.32, rel. 79
3.403 Å, 2θ 26.19, rel. 66
2.209 Å, 2θ 40.85, rel. 66
2.089 Å, 2θ 43.32, rel. 58
2.668 Å, 2θ 33.59, rel. 56
3.271 Å, 2θ 27.26, rel. 37
3.289 Å, 2θ 27.11, rel. 34

Atomic structure:
a = 8.287 Å, b = 8.287 Å, c = 10.460 Å
α = 123.16°, β = 123.16°, γ = 29.20°
Fractional positions:
Y (0.000, 0.000, 0.000)
Y (0.299, 0.299, 0.279)
Y (0.701, 0.701, 0.721)
Mg (0.000, 0.000, 0.500)
Mg (0.171, 0.171, 0.430)
Mg (0.321, 0.321, 0.989)
Mg (0.488, 0.488, 0.712)
Mg (0.512, 0.512, 0.288)
Mg (0.679, 0.679, 0.011)
Mg (0.829, 0.829, 0.570)
Ir (0.110, 0.110, 0.809)
Ir (0.337, 0.337, 0.745)
Ir (0.663, 0.663, 0.255)
Ir (0.890, 0.890, 0.191)


Structure and calculated powder diffraction line list of PaRuO4 (DFT lattice parameters and positions (GGA-PBE); Cu Kα).

Top 8 peaks for 10 to 80 degrees two-theta, by intensity:
3.566 Å, 2θ 24.97, rel. 100
2.682 Å, 2θ 33.41, rel. 61
2.631 Å, 2θ 34.07, rel. 20
1.840 Å, 2θ 49.54, rel. 17
1.783 Å, 2θ 51.23, rel. 17
1.853 Å, 2θ 49.17, rel. 17
1.805 Å, 2θ 50.56, rel. 16
1.835 Å, 2θ 49.69, rel. 16

Atomic structure:
a = 5.824 Å, b = 5.120 Å, c = 5.943 Å
α = 90.00°, β = 115.35°, γ = 90.00°
Fractional positions:
Pa (0.000, 0.000, 0.000)
Pa (0.000, 0.500, 0.500)
Ru (0.500, 0.000, 0.500)
Ru (0.500, 0.500, 0.000)
O (0.151, 0.174, 0.372)
O (0.151, 0.326, 0.872)
O (0.368, 0.706, 0.655)
O (0.368, 0.794, 0.155)
O (0.632, 0.206, 0.845)
O (0.632, 0.294, 0.345)
O (0.849, 0.674, 0.128)
O (0.849, 0.826, 0.628)


Structure and calculated powder diffraction line list of Tm4Cu3Ir (DFT lattice parameters and positions (GGA-PBE); Cu Kα).

Top 8 peaks for 10 to 80 degrees two-theta, by intensity:
2.411 Å, 2θ 37.30, rel. 100
1.392 Å, 2θ 67.23, rel. 23
1.706 Å, 2θ 53.72, rel. 12
1.390 Å, 2θ 67.36, rel. 12
3.409 Å, 2θ 26.14, rel. 8
1.205 Å, 2θ 79.58, rel. 7
1.701 Å, 2θ 53.91, rel. 6
1.207 Å, 2θ 79.42, rel. 4

Atomic structure:
a = 4.826 Å, b = 4.826 Å, c = 6.803 Å
α = 90.00°, β = 90.00°, γ = 90.00°
Fractional positions:
Tm (0.000, 0.500, 0.246)
Tm (0.000, 0.500, 0.754)
Tm (0.500, 0.000, 0.246)
Tm (0.500, 0.000, 0.754)
Cu (0.000, 0.000, 0.000)
Cu (0.000, 0.000, 0.500)
Cu (0.500, 0.500, 0.500)
Ir (0.500, 0.500, 0.000)


Structure and calculated powder diffraction line list of Tb2Dy3Se4 (DFT lattice parameters and positions (GGA-PBE); Cu Kα).

Top 8 peaks for 10 to 80 degrees two-theta, by intensity:
2.936 Å, 2θ 30.45, rel. 100
1.993 Å, 2θ 45.51, rel. 37
2.170 Å, 2θ 41.62, rel. 28
1.649 Å, 2θ 55.75, rel. 18
1.271 Å, 2θ 74.71, rel. 15
3.191 Å, 2θ 27.96, rel. 15
1.282 Å, 2θ 73.94, rel. 11
1.966 Å, 2θ 46.18, rel. 11

Atomic structure:
a = 3.986 Å, b = 3.986 Å, c = 16.741 Å
α = 90.00°, β = 90.00°, γ = 120.00°
Fractional positions:
Tb (0.333, 0.667, 0.208)
Tb (0.667, 0.333, 0.792)
Dy (0.000, 0.000, 0.000)
Dy (0.333, 0.667, 0.583)
Dy (0.667, 0.333, 0.417)
Se (0.000, 0.000, 0.311)
Se (0.000, 0.000, 0.689)
Se (0.333, 0.667, 0.897)
Se (0.667, 0.333, 0.103)


Structure and calculated powder diffraction line list of CaCr2Ir (DFT lattice parameters and positions (GGA-PBE); Cu Kα).

Top 8 peaks for 10 to 80 degrees two-theta, by intensity:
5.212 Å, 2θ 17.01, rel. 100
2.396 Å, 2θ 37.53, rel. 75
2.582 Å, 2θ 34.74, rel. 69
2.099 Å, 2θ 43.09, rel. 67
4.466 Å, 2θ 19.88, rel. 37
3.005 Å, 2θ 29.73, rel. 32
2.233 Å, 2θ 40.40, rel. 30
3.978 Å, 2θ 22.35, rel. 29

Atomic structure:
a = 9.294 Å, b = 2.976 Å, c = 5.424 Å
α = 90.00°, β = 106.06°, γ = 90.00°
Fractional positions:
Ca (0.000, 0.000, 0.000)
Ca (0.500, 0.500, 0.000)
Cr (0.205, 0.000, 0.650)
Cr (0.496, 0.000, 0.491)
Cr (0.705, 0.500, 0.650)
Cr (0.996, 0.500, 0.491)
Ir (0.268, 0.500, 0.322)
Ir (0.768, 0.000, 0.322)